No. 1
The following is a calculated XRD peak list of Nd2Sm2Er5. It was derived from a structure optimized by DFT (GGA-PBE), using Cu Kα (λ = 1.5418 Å).
Neutral-atom scattering factors, no anomalous dispersion.

Top 8 peaks for 5° ≤ 2θ ≤ 70°, by angle:
25.71°, I 30
27.83°, I 27
29.82°, I 100
32.59°, I 48
33.75°, I 39
34.79°, I 46
36.22°, I 58
42.73°, I 29

Structure:
```
Nd2Sm2Er5
1.0
10.758 -1.746 0.000
10.758 1.746 0.000
-1.416 0.000 8.151
Nd Sm Er
2 2 5
Direct
0.185 0.185 0.144
0.815 0.815 0.856
0.454 0.454 0.645
0.546 0.546 0.355
0.000 0.000 0.000
0.100 0.100 0.737
0.310 0.310 0.475
0.690 0.690 0.525
0.900 0.900 0.263
```

=====

No. 2
The following is a calculated XRD peak list of CeGa3IrPt. It was derived from a structure optimized by DFT (GGA-PBE), using Cu Kα (λ = 1.5418 Å).
Neutral-atom scattering factors, no anomalous dispersion.

Top 8 peaks for 5° ≤ 2θ ≤ 70°, by angle:
16.15°, I 58
22.11°, I 73
30.46°, I 33
30.87°, I 53
32.62°, I 50
37.96°, I 100
45.10°, I 31
50.90°, I 58

Structure:
```
CeGa3IrPt
1.0
4.021 -5.490 0.000
4.021 5.490 0.000
0.000 0.000 5.869
Ce Ga Ir Pt
2 6 2 2
Direct
0.244 0.756 0.750
0.756 0.244 0.250
0.243 0.757 0.250
0.250 0.250 0.000
0.250 0.250 0.500
0.750 0.750 0.000
0.750 0.750 0.500
0.757 0.243 0.750
0.027 0.973 0.250
0.973 0.027 0.750
0.460 0.540 0.250
0.540 0.460 0.750
```

=====

What did the second record say?
The following is a calculated XRD peak list of CeGa3IrPt. It was derived from a structure optimized by DFT (GGA-PBE), using Cu Kα (λ = 1.5418 Å).
Neutral-atom scattering factors, no anomalous dispersion.

Top 8 peaks for 5° ≤ 2θ ≤ 70°, by angle:
16.15°, I 58
22.11°, I 73
30.46°, I 33
30.87°, I 53
32.62°, I 50
37.96°, I 100
45.10°, I 31
50.90°, I 58

Structure:
```
CeGa3IrPt
1.0
4.021 -5.490 0.000
4.021 5.490 0.000
0.000 0.000 5.869
Ce Ga Ir Pt
2 6 2 2
Direct
0.244 0.756 0.750
0.756 0.244 0.250
0.243 0.757 0.250
0.250 0.250 0.000
0.250 0.250 0.500
0.750 0.750 0.000
0.750 0.750 0.500
0.757 0.243 0.750
0.027 0.973 0.250
0.973 0.027 0.750
0.460 0.540 0.250
0.540 0.460 0.750
```